Calculated X-ray powder pattern of ZrNp4Ga15 for λ = 1.5418 Å (Cu Kα), from a GGA-PBE-relaxed structure.
Kinematic intensities with the Lorentz-polarization factor, no thermal factor.

Structural model:
```
data_ZrNp4Ga15
_chemical_formula_sum 'Zr1 Np4 Ga15'
_cell_length_a 4.2026
_cell_length_b 4.2026
_cell_length_c 21.0797
_cell_angle_alpha 90.00
_cell_angle_beta 90.00
_cell_angle_gamma 90.00
_symmetry_space_group_name_H-M 'P 1'
_symmetry_Int_Tables_number 1
_symmetry_space_group_name_Hall 'P 1'
loop_
_atom_site_label
_atom_site_type_symbol
_atom_site_fract_x
_atom_site_fract_y
_atom_site_fract_z
_atom_site_occupancy
Zr1 Zr 0.0000 0.0000 0.0000 1
Np1 Np 0.0000 0.0000 0.1978 1
Np2 Np 0.0000 0.0000 0.4007 1
Np3 Np 0.0000 0.0000 0.5993 1
Np4 Np 0.0000 0.0000 0.8022 1
Ga1 Ga 0.0000 0.5000 0.0980 1
Ga2 Ga 0.0000 0.5000 0.3014 1
Ga3 Ga 0.0000 0.5000 0.5000 1
Ga4 Ga 0.0000 0.5000 0.6986 1
Ga5 Ga 0.0000 0.5000 0.9020 1
Ga6 Ga 0.5000 0.0000 0.0980 1
Ga7 Ga 0.5000 0.0000 0.3014 1
Ga8 Ga 0.5000 0.0000 0.5000 1
Ga9 Ga 0.5000 0.0000 0.6986 1
Ga10 Ga 0.5000 0.0000 0.9020 1
Ga11 Ga 0.5000 0.5000 0.0000 1
Ga12 Ga 0.5000 0.5000 0.2002 1
Ga13 Ga 0.5000 0.5000 0.4004 1
Ga14 Ga 0.5000 0.5000 0.5996 1
Ga15 Ga 0.5000 0.5000 0.7998 1
```

Most intense lines, 5 to 70 degrees two-theta, in order of rising 2θ:
| 2θ/deg | I/Imax |
| --- | --- |
| 8.39 | 2 |
| 21.12 | 28 |
| 30.04 | 24 |
| 37.01 | 100 |
| 42.90 | 16 |
| 43.05 | 33 |
| 48.35 | 9 |
| 48.43 | 5 |
| 53.34 | 10 |
| 62.40 | 21 |
| 62.51 | 11 |
| 66.70 | 5 |

***

Calculated X-ray powder pattern of GaO for λ = 1.5418 Å (Cu Kα), from a GGA-PBE-relaxed structure.
Kinematic intensities with the Lorentz-polarization factor, no thermal factor.

Structural model:
```
data_GaO
_chemical_formula_sum 'Ga8 O8'
_cell_length_a 5.4248
_cell_length_b 5.4248
_cell_length_c 9.0809
_cell_angle_alpha 90.00
_cell_angle_beta 90.00
_cell_angle_gamma 90.00
_symmetry_space_group_name_H-M 'P 1'
_symmetry_Int_Tables_number 1
_symmetry_space_group_name_Hall 'P 1'
loop_
_atom_site_label
_atom_site_type_symbol
_atom_site_fract_x
_atom_site_fract_y
_atom_site_fract_z
_atom_site_occupancy
Ga1 Ga 0.0541 0.1632 0.1526 1
Ga2 Ga 0.1632 0.0541 0.8474 1
Ga3 Ga 0.3368 0.5541 0.4026 1
Ga4 Ga 0.4459 0.6632 0.0974 1
Ga5 Ga 0.5541 0.3368 0.5974 1
Ga6 Ga 0.6632 0.4459 0.9026 1
Ga7 Ga 0.8368 0.9459 0.3474 1
Ga8 Ga 0.9459 0.8368 0.6526 1
O1 O 0.0600 0.7383 0.4614 1
O2 O 0.2383 0.4400 0.2114 1
O3 O 0.2617 0.9400 0.0386 1
O4 O 0.4400 0.2383 0.7886 1
O5 O 0.5600 0.7617 0.2886 1
O6 O 0.7383 0.0600 0.5386 1
O7 O 0.7617 0.5600 0.7114 1
O8 O 0.9400 0.2617 0.9614 1
```

Most intense lines, 5 to 70 degrees two-theta, in order of rising 2θ:
| 2θ/deg | I/Imax |
| --- | --- |
| 19.06 | 15 |
| 23.19 | 35 |
| 25.20 | 100 |
| 33.91 | 18 |
| 37.06 | 11 |
| 37.86 | 15 |
| 38.67 | 20 |
| 44.87 | 17 |
| 48.06 | 11 |
| 48.51 | 15 |
| 55.43 | 13 |
| 57.42 | 18 |

***

Calculated X-ray powder pattern of GaO3 for λ = 1.5418 Å (Cu Kα), from a GGA-PBE-relaxed structure.
Kinematic intensities with the Lorentz-polarization factor, no thermal factor.

Structural model:
```
data_GaO3
_chemical_formula_sum 'Ga4 O12'
_cell_length_a 6.0940
_cell_length_b 6.0940
_cell_length_c 6.0940
_cell_angle_alpha 109.47
_cell_angle_beta 109.47
_cell_angle_gamma 109.47
_symmetry_space_group_name_H-M 'P 1'
_symmetry_Int_Tables_number 1
_symmetry_space_group_name_Hall 'P 1'
loop_
_atom_site_label
_atom_site_type_symbol
_atom_site_fract_x
_atom_site_fract_y
_atom_site_fract_z
_atom_site_occupancy
Ga1 Ga 0.0000 0.0000 0.5000 1
Ga2 Ga 0.0000 0.5000 0.0000 1
Ga3 Ga 0.5000 0.0000 0.0000 1
Ga4 Ga 0.5000 0.5000 0.5000 1
O1 O 0.1477 0.3316 0.4793 1
O2 O 0.1477 0.6684 0.8161 1
O3 O 0.1839 0.8523 0.3316 1
O4 O 0.3316 0.1839 0.8523 1
O5 O 0.3316 0.4793 0.1477 1
O6 O 0.4793 0.1477 0.3316 1
O7 O 0.5207 0.8523 0.6684 1
O8 O 0.6684 0.5207 0.8523 1
O9 O 0.6684 0.8161 0.1477 1
O10 O 0.8161 0.1477 0.6684 1
O11 O 0.8523 0.3316 0.1839 1
O12 O 0.8523 0.6684 0.5207 1
```

Most intense lines, 5 to 70 degrees two-theta, in order of rising 2θ:
| 2θ/deg | I/Imax |
| --- | --- |
| 17.83 | 1 |
| 25.31 | 100 |
| 31.13 | 3 |
| 36.10 | 63 |
| 40.54 | 15 |
| 44.61 | 26 |
| 48.40 | 5 |
| 51.98 | 13 |
| 55.40 | 1 |
| 58.67 | 54 |
| 64.92 | 38 |
| 67.92 | 2 |

***

Calculated X-ray powder pattern of GaO for λ = 1.5418 Å (Cu Kα), from a GGA-PBE-relaxed structure.
Kinematic intensities with the Lorentz-polarization factor, no thermal factor.

Structural model:
```
data_GaO
_chemical_formula_sum 'Ga2 O2'
_cell_length_a 5.0533
_cell_length_b 5.0533
_cell_length_c 5.0533
_cell_angle_alpha 143.97
_cell_angle_beta 71.00
_cell_angle_gamma 121.12
_symmetry_space_group_name_H-M 'P 1'
_symmetry_Int_Tables_number 1
_symmetry_space_group_name_Hall 'P 1'
loop_
_atom_site_label
_atom_site_type_symbol
_atom_site_fract_x
_atom_site_fract_y
_atom_site_fract_z
_atom_site_occupancy
Ga1 Ga 0.1493 0.0000 0.1493 1
Ga2 Ga 0.8507 0.0000 0.8507 1
O1 O 0.0960 0.3480 0.7481 1
O2 O 0.5999 0.3480 0.2519 1
```

Most intense lines, 5 to 70 degrees two-theta, in order of rising 2θ:
| 2θ/deg | I/Imax |
| --- | --- |
| 20.89 | 100 |
| 21.60 | 39 |
| 30.60 | 38 |
| 33.89 | 66 |
| 36.16 | 31 |
| 37.46 | 57 |
| 43.92 | 35 |
| 48.08 | 21 |
| 56.69 | 39 |
| 58.18 | 44 |
| 59.12 | 11 |
| 63.59 | 18 |

***

Calculated X-ray powder pattern of Tl2GaOsO6 for λ = 1.5418 Å (Cu Kα), from a GGA-PBE-relaxed structure.
Kinematic intensities with the Lorentz-polarization factor, no thermal factor.

Structural model:
```
data_Tl2GaOsO6
_chemical_formula_sum 'Tl2 Ga1 Os1 O6'
_cell_length_a 6.1640
_cell_length_b 6.1640
_cell_length_c 5.2419
_cell_angle_alpha 90.00
_cell_angle_beta 90.00
_cell_angle_gamma 120.00
_symmetry_space_group_name_H-M 'P 1'
_symmetry_Int_Tables_number 1
_symmetry_space_group_name_Hall 'P 1'
loop_
_atom_site_label
_atom_site_type_symbol
_atom_site_fract_x
_atom_site_fract_y
_atom_site_fract_z
_atom_site_occupancy
Tl1 Tl 0.3333 0.6667 0.3251 1
Tl2 Tl 0.6667 0.3333 0.6749 1
Ga1 Ga 0.0000 0.0000 0.0000 1
Os1 Os 0.0000 0.0000 0.5000 1
O1 O 0.1404 0.2807 0.7275 1
O2 O 0.1404 0.8596 0.7275 1
O3 O 0.2807 0.1404 0.2725 1
O4 O 0.7193 0.8596 0.7275 1
O5 O 0.8596 0.1404 0.2725 1
O6 O 0.8596 0.7193 0.2725 1
```

Most intense lines, 5 to 70 degrees two-theta, in order of rising 2θ:
| 2θ/deg | I/Imax |
| --- | --- |
| 16.61 | 10 |
| 16.91 | 29 |
| 23.79 | 68 |
| 28.97 | 100 |
| 33.74 | 28 |
| 37.82 | 37 |
| 38.26 | 47 |
| 48.34 | 18 |
| 48.69 | 32 |
| 51.35 | 20 |
| 57.66 | 33 |
| 60.04 | 17 |

***

Calculated X-ray powder pattern of GaPO4 for λ = 1.5418 Å (Cu Kα), from a GGA-PBE-relaxed structure.
Kinematic intensities with the Lorentz-polarization factor, no thermal factor.

Structural model:
```
data_GaPO4
_chemical_formula_sum 'Ga2 P2 O8'
_cell_length_a 5.0424
_cell_length_b 5.0424
_cell_length_c 7.0519
_cell_angle_alpha 90.00
_cell_angle_beta 90.00
_cell_angle_gamma 90.20
_symmetry_space_group_name_H-M 'P 1'
_symmetry_Int_Tables_number 1
_symmetry_space_group_name_Hall 'P 1'
loop_
_atom_site_label
_atom_site_type_symbol
_atom_site_fract_x
_atom_site_fract_y
_atom_site_fract_z
_atom_site_occupancy
Ga1 Ga 0.1912 0.1912 0.0000 1
Ga2 Ga 0.8088 0.8088 0.5000 1
P1 P 0.3116 0.6884 0.7500 1
P2 P 0.6884 0.3116 0.2500 1
O1 O 0.1588 0.7737 0.5702 1
O2 O 0.2263 0.8412 0.9298 1
O3 O 0.2637 0.3898 0.7878 1
O4 O 0.3898 0.2637 0.2122 1
O5 O 0.6102 0.7363 0.7122 1
O6 O 0.7363 0.6102 0.2878 1
O7 O 0.7737 0.1588 0.4298 1
O8 O 0.8412 0.2263 0.0702 1
```

Most intense lines, 5 to 70 degrees two-theta, in order of rising 2θ:
| 2θ/deg | I/Imax |
| --- | --- |
| 21.67 | 100 |
| 24.93 | 5 |
| 28.06 | 13 |
| 30.95 | 16 |
| 35.61 | 20 |
| 35.81 | 9 |
| 42.01 | 9 |
| 42.43 | 5 |
| 46.27 | 6 |
| 47.93 | 8 |
| 59.49 | 5 |
| 61.08 | 8 |